Starting from a GGA-PBE-relaxed structure, the X-ray powder pattern of Tb3YMg7 was computed for a wavelength of 1.5418 Å.
Neutral-atom scattering factors, no anomalous dispersion.

Structural model:
Cell lengths 10.7327, 10.1955, 6.0999 Å; angles 90.00, 107.59, 90.00 degrees
Space group C2/m (No. 12)
Unique sites:
Tb  0.0000  0.0000  0.0000 [2 per cell]
Tb  0.0000  0.1934  0.5000 [4 per cell]
Y  0.0000  0.5000  0.0000 [2 per cell]
Mg  0.0000  0.5000  0.5000 [2 per cell]
Mg  0.1928  0.2441  0.1894 [8 per cell]
Mg  0.2381  0.0000  0.5203 [4 per cell]

The 12 most intense peaks (2θ = 5–70°), in order of falling intensity:
d (Å)	I/Imax	index
5.115	100	2 0 0
3.411	81	2 2 -1
2.939	80	2 0 -2
2.811	79	2 2 1
3.833	66	0 2 1
7.222	47	1 1 0
2.558	38	4 0 0
2.907	38	0 0 2
2.355	33	4 2 -1
2.713	28	1 3 1
3.227	23	1 3 0
1.812	22	0 2 3



Starting from a GGA-PBE-relaxed structure, the X-ray powder pattern of Tb2Y3Mg was computed for a wavelength of 1.5418 Å.
Neutral-atom scattering factors, no anomalous dispersion.

Structural model:
Cell lengths 17.2474, 6.9797, 6.1639 Å; angles 90.00, 91.26, 90.00 degrees
Space group C2/c (No. 15)
Unique sites:
Tb  0.1668  0.1225  0.0831 [8 per cell]
Y  0.0000  0.1318  0.7500 [4 per cell]
Y  0.1661  0.3749  0.5768 [8 per cell]
Mg  0.0000  0.3703  0.2500 [4 per cell]

The 12 most intense peaks (2θ = 5–70°), in order of falling intensity:
d (Å)	I/Imax	index
2.876	100	6 0 0
2.470	33	4 2 1
1.492	20	10 2 1
2.533	18	4 0 -2
8.622	14	2 0 0
1.770	12	0 2 3
1.767	12	8 2 -1
1.520	11	10 0 -2
1.437	9	12 0 0
6.470	8	1 1 0
1.495	7	6 2 3
1.748	6	8 0 2